Structure and theoretical X-ray powder pattern of ZrRu (a crystal structure in the Materials Project, relaxed with GGA-PBE; Cu Ka).
Peak positions follow from Bragg's law for the DFT cell and can differ from measured ones.

Most intense lines, 2θ = 10–90°, most intense first:
2θ/deg  Rel. int.
38.80  100
70.24  33
56.03  17
83.26  10

Structural model:
```
ZrRu
1.0
3.2824 0.0000 0.0000
0.0000 3.2824 0.0000
0.0000 0.0000 3.2824
Zr Ru
1 1
direct
0.0000 0.0000 0.0000
0.5000 0.5000 0.5000
```